[1]
Diffraction record for Re11Ag3. The powder X-ray diffraction pattern is calculated, not measured: it uses a GGA-PBE-relaxed structure and Cu Kα.
Peak positions follow from Bragg's law for the DFT cell and can differ from measured ones.

Principal peaks in the range 2θ from 5° to 70°, by intensity:
two_theta, d (Å), intensity
39.2, 2.300, 100
33.5, 2.675, 89
46.7, 1.946, 81
44.7, 2.028, 49
12.8, 6.901, 48
26.8, 3.324, 43
47.3, 1.920, 42
45.6, 1.987, 38
35.3, 2.539, 36
43.1, 2.099, 34
34.2, 2.622, 33
54.0, 1.699, 32

Cell and atoms:
Cell lengths 6.913, 6.913, 7.118 Å; angles 102.87, 102.87, 49.64 degrees
Sites, in units of the cell vectors:
Re: 0.000 0.000 0.000
Re: 0.042 0.474 0.317
Re: 0.130 0.717 0.654
Re: 0.159 0.739 0.281
Re: 0.261 0.261 0.625
Re: 0.397 0.815 0.597
Re: 0.474 0.042 0.317
Re: 0.609 0.609 0.260
Re: 0.717 0.130 0.654
Re: 0.739 0.159 0.281
Re: 0.815 0.397 0.597
Ag: 0.203 0.203 0.960
Ag: 0.432 0.432 0.959
Ag: 0.763 0.763 0.946

[2]
Diffraction record for TlReAgS3. The powder X-ray diffraction pattern is calculated, not measured: it uses a GGA-PBE-relaxed structure and Cu Kα.
Peak positions follow from Bragg's law for the DFT cell and can differ from measured ones.

Principal peaks in the range 2θ from 5° to 70°, by intensity:
two_theta, d (Å), intensity
21.8, 4.073, 100
31.5, 2.839, 90
43.0, 2.101, 56
50.8, 1.799, 46
33.8, 2.651, 29
38.7, 2.325, 29
31.8, 2.814, 28
50.9, 1.793, 23
47.3, 1.922, 23
60.8, 1.525, 18
28.6, 3.125, 14
14.2, 6.251, 12

Cell and atoms:
Cell lengths 8.599, 8.599, 9.301 Å; angles 90.00, 90.00, 157.96 degrees
Sites, in units of the cell vectors:
Tl: 0.175 0.825 0.750
Tl: 0.825 0.175 0.250
Re: 0.500 0.500 0.000
Re: 0.500 0.500 0.500
Ag: 0.182 0.818 0.250
Ag: 0.818 0.182 0.750
S: 0.102 0.898 0.030
S: 0.102 0.898 0.470
S: 0.466 0.534 0.250
S: 0.534 0.466 0.750
S: 0.898 0.102 0.530
S: 0.898 0.102 0.970

[3]
Diffraction record for TlReAg3Te4. The powder X-ray diffraction pattern is calculated, not measured: it uses a GGA-PBE-relaxed structure and Cu Kα.
Peak positions follow from Bragg's law for the DFT cell and can differ from measured ones.

Principal peaks in the range 2θ from 5° to 70°, by intensity:
two_theta, d (Å), intensity
38.0, 2.367, 100
23.0, 3.866, 63
18.7, 4.735, 33
68.7, 1.367, 30
44.9, 2.019, 29
32.8, 2.734, 18
54.8, 1.674, 16
13.2, 6.696, 13
51.0, 1.790, 13
60.2, 1.536, 10
58.5, 1.578, 9
42.7, 2.117, 6

Cell and atoms:
Cell lengths 6.696, 6.696, 6.696 Å; angles 90.00, 90.00, 90.00 degrees
Sites, in units of the cell vectors:
Tl: 0.000 0.000 0.000
Re: 0.500 0.500 0.500
Ag: 0.000 0.500 0.500
Ag: 0.500 0.000 0.500
Ag: 0.500 0.500 0.000
Te: 0.272 0.272 0.272
Te: 0.272 0.728 0.728
Te: 0.728 0.272 0.728
Te: 0.728 0.728 0.272

[4]
Diffraction record for Zr3Re4Ag2. The powder X-ray diffraction pattern is calculated, not measured: it uses a GGA-PBE-relaxed structure and Cu Kα.
Peak positions follow from Bragg's law for the DFT cell and can differ from measured ones.

Principal peaks in the range 2θ from 5° to 70°, by intensity:
two_theta, d (Å), intensity
37.4, 2.406, 100
46.8, 1.943, 62
33.8, 2.653, 61
41.9, 2.156, 55
40.3, 2.239, 46
59.5, 1.553, 40
19.8, 4.477, 36
15.5, 5.704, 22
62.2, 1.492, 15
27.1, 3.293, 13
47.8, 1.901, 12
64.3, 1.449, 10

Cell and atoms:
Cell lengths 6.587, 6.587, 4.477 Å; angles 90.00, 90.00, 120.00 degrees
Sites, in units of the cell vectors:
Zr: 0.104 0.336 0.000
Zr: 0.232 0.896 0.000
Zr: 0.664 0.768 0.000
Re: 0.333 0.667 0.500
Re: 0.458 0.373 0.500
Re: 0.627 0.085 0.500
Re: 0.915 0.542 0.500
Ag: 0.000 0.000 0.500
Ag: 0.667 0.333 0.000

[5]
Diffraction record for AgS. The powder X-ray diffraction pattern is calculated, not measured: it uses a GGA-PBE-relaxed structure and Cu Kα.
Peak positions follow from Bragg's law for the DFT cell and can differ from measured ones.

Principal peaks in the range 2θ from 5° to 70°, by intensity:
two_theta, d (Å), intensity
28.7, 3.113, 100
31.5, 2.844, 79
28.5, 3.133, 50
31.3, 2.857, 38
48.9, 1.864, 36
48.7, 1.870, 26
49.0, 1.860, 23
45.0, 2.014, 19
38.7, 2.328, 19
61.0, 1.520, 16
52.1, 1.755, 15
52.6, 1.739, 14

Cell and atoms:
Cell lengths 6.955, 6.955, 7.019 Å; angles 90.00, 90.00, 90.00 degrees
Sites, in units of the cell vectors:
Ag: 0.000 0.000 0.250
Ag: 0.000 0.000 0.750
Ag: 0.000 0.500 0.000
Ag: 0.243 0.542 0.500
Ag: 0.458 0.243 0.000
Ag: 0.500 0.000 0.500
Ag: 0.542 0.757 0.000
Ag: 0.757 0.458 0.500
S: 0.186 0.314 0.231
S: 0.186 0.314 0.769
S: 0.314 0.814 0.269
S: 0.314 0.814 0.731
S: 0.686 0.186 0.269
S: 0.686 0.186 0.731
S: 0.814 0.686 0.231
S: 0.814 0.686 0.769

[6]
Diffraction record for Ag3S2. The powder X-ray diffraction pattern is calculated, not measured: it uses a GGA-PBE-relaxed structure and Cu Kα.
Peak positions follow from Bragg's law for the DFT cell and can differ from measured ones.

Principal peaks in the range 2θ from 5° to 70°, by intensity:
two_theta, d (Å), intensity
23.6, 3.763, 100
27.0, 3.305, 80
28.9, 3.091, 68
41.3, 2.186, 66
44.2, 2.049, 54
42.1, 2.146, 52
48.4, 1.882, 38
44.4, 2.039, 35
32.7, 2.738, 31
46.2, 1.965, 31
36.8, 2.444, 29
50.3, 1.815, 24

Cell and atoms:
Cell lengths 6.911, 6.911, 4.486 Å; angles 90.00, 90.00, 90.00 degrees
Sites, in units of the cell vectors:
Ag: 0.000 0.000 0.000
Ag: 0.150 0.350 0.282
Ag: 0.350 0.850 0.718
Ag: 0.500 0.500 0.000
Ag: 0.650 0.150 0.718
Ag: 0.850 0.650 0.282
S: 0.222 0.722 0.235
S: 0.278 0.222 0.765
S: 0.722 0.778 0.765
S: 0.778 0.278 0.235